# 1
Calculated X-ray powder pattern
Compound: Pr3SmSb3
Radiation: Cu Kα (λ = 1.5418 Å)
Structure: DFT lattice parameters and positions (PBE)
Peak positions follow from Bragg's law for the DFT cell and can differ from measured ones.

Peak list (10 most intense, 2θ from 5° to 70°, low angle first)
- 2θ = 29.6°, intensity 100, hkl 3 0 1
- 2θ = 35.2°, intensity 65, hkl 3 1 2
- 2θ = 42.4°, intensity 11, hkl 4 0 2
- 2θ = 44.5°, intensity 9, hkl 3 3 2
- 2θ = 46.6°, intensity 17, hkl 4 2 2
- 2θ = 48.6°, intensity 24, hkl 4 3 1
- 2θ = 59.7°, intensity 25, hkl 6 1 1
- 2θ = 61.4°, intensity 12, hkl 6 0 2
- 2θ = 63.1°, intensity 14, hkl 5 4 1
- 2θ = 68.1°, intensity 6, hkl 4 4 4

Structural model:
Unit cell a=9.544 b=9.544 c=9.544 alpha=90.00 beta=90.00 gamma=90.00
Space group P2_13 (No. 198)
Asymmetric unit:
Pr1 0.069 0.431 0.569 (multiplicity 4)
Pr2 0.179 0.821 0.321 (multiplicity 4)
Pr3 0.180 0.180 0.180 (multiplicity 4)
Sm1 0.071 0.571 0.929 (multiplicity 4)
Sb1 0.001 0.253 0.873 (multiplicity 12)

# 2
Calculated X-ray powder pattern
Compound: Nd15HoEr4
Radiation: Cu Kα (λ = 1.5418 Å)
Structure: DFT lattice parameters and positions (PBE)
Peak positions follow from Bragg's law for the DFT cell and can differ from measured ones.

Peak list (8 most intense, 2θ from 5° to 70°, low angle first)
- 2θ = 30.1°, intensity 100, hkl 1 1 5
- 2θ = 34.8°, intensity 34, hkl 2 0 0
- 2θ = 35.0°, intensity 17, hkl 0 0 10
- 2θ = 50.1°, intensity 12, hkl 2 2 0
- 2θ = 50.2°, intensity 24, hkl 2 0 10
- 2θ = 59.5°, intensity 29, hkl 3 1 5
- 2θ = 59.8°, intensity 14, hkl 1 1 15
- 2θ = 62.6°, intensity 12, hkl 2 2 10

Structural model:
Unit cell a=5.152 b=5.152 c=25.621 alpha=90.00 beta=90.00 gamma=90.00
Space group P4/mmm (No. 123)
Asymmetric unit:
Nd1 0.000 0.000 0.000 (multiplicity 1)
Nd2 0.000 0.000 0.200 (multiplicity 2)
Nd3 0.000 0.000 0.400 (multiplicity 2)
Nd4 0.000 0.500 0.100 (multiplicity 4)
Nd5 0.000 0.500 0.300 (multiplicity 4)
Nd6 0.000 0.500 0.500 (multiplicity 2)
Ho1 0.500 0.500 0.000 (multiplicity 1)
Er1 0.500 0.500 0.200 (multiplicity 2)
Er2 0.500 0.500 0.400 (multiplicity 2)

# 3
Calculated X-ray powder pattern
Compound: Tb5Ge2C
Radiation: Cu Kα (λ = 1.5418 Å)
Structure: DFT lattice parameters and positions (PBE)
Peak positions follow from Bragg's law for the DFT cell and can differ from measured ones.

Peak list (10 most intense, 2θ from 5° to 70°, low angle first)
- 2θ = 25.2°, intensity 42, hkl 0 2 3
- 2θ = 26.9°, intensity 74, hkl 1 1 3
- 2θ = 27.2°, intensity 64, hkl 1 3 0
- 2θ = 27.3°, intensity 33, hkl 0 0 4
- 2θ = 28.0°, intensity 57, hkl 1 3 1
- 2θ = 31.9°, intensity 100, hkl 2 0 0
- 2θ = 36.1°, intensity 89, hkl 0 4 3
- 2θ = 38.7°, intensity 41, hkl 1 1 5
- 2θ = 41.1°, intensity 24, hkl 2 2 3
- 2θ = 48.9°, intensity 75, hkl 2 4 3

Structural model:
Unit cell a=5.608 b=12.141 c=13.066 alpha=90.00 beta=90.00 gamma=90.00
Space group Cmcm (No. 63)
Asymmetric unit:
Tb1 0.000 0.056 0.124 (multiplicity 8)
Tb2 0.000 0.300 0.750 (multiplicity 4)
Tb3 0.000 0.337 0.107 (multiplicity 8)
Ge1 0.000 0.175 0.567 (multiplicity 8)
C1 0.000 0.202 0.250 (multiplicity 4)

# 4
Calculated X-ray powder pattern
Compound: Nd2TlSe3
Radiation: Cu Kα (λ = 1.5418 Å)
Structure: DFT lattice parameters and positions (PBE)
Peak positions follow from Bragg's law for the DFT cell and can differ from measured ones.

Peak list (10 most intense, 2θ from 5° to 70°, low angle first)
- 2θ = 25.4°, intensity 27, hkl 1 0 2
- 2θ = 26.9°, intensity 33, hkl 1 0 3
- 2θ = 28.9°, intensity 100, hkl 1 0 4
- 2θ = 31.2°, intensity 48, hkl 1 0 5
- 2θ = 40.0°, intensity 35, hkl 1 0 8
- 2θ = 42.6°, intensity 59, hkl 1 1 0
- 2θ = 43.3°, intensity 25, hkl 1 0 9
- 2θ = 52.2°, intensity 19, hkl 2 0 4
- 2θ = 65.9°, intensity 21, hkl 1 1 12
- 2θ = 69.6°, intensity 16, hkl 2 1 4

Structural model:
Unit cell a=4.2485 b=4.2485 c=22.8187 alpha=90.00 beta=90.00 gamma=120.00
Space group P6_3/mmc (No. 194)
Asymmetric unit:
Nd1 0.3333 0.6667 0.0770 (multiplicity 4)
Tl1 0.0000 0.0000 0.2500 (multiplicity 2)
Se1 0.0000 0.0000 0.0000 (multiplicity 2)
Se2 0.3333 0.6667 0.6502 (multiplicity 4)

# 5
Calculated X-ray powder pattern
Compound: Li2Ac3Hg5
Radiation: Cu Kα (λ = 1.5418 Å)
Structure: DFT lattice parameters and positions (PBE)
Peak positions follow from Bragg's law for the DFT cell and can differ from measured ones.

Peak list (10 most intense, 2θ from 5° to 70°, low angle first)
- 2θ = 27.9°, intensity 78, hkl 2 1 1
- 2θ = 31.0°, intensity 63, hkl 2 2 1
- 2θ = 31.9°, intensity 66, hkl 4 1 0
- 2θ = 32.9°, intensity 100, hkl 3 1 1
- 2θ = 34.7°, intensity 35, hkl 4 2 0
- 2θ = 35.6°, intensity 28, hkl 3 2 1
- 2θ = 44.5°, intensity 24, hkl 0 0 2
- 2θ = 55.6°, intensity 20, hkl 5 4 1
- 2θ = 55.8°, intensity 28, hkl 4 1 2
- 2θ = 61.0°, intensity 21, hkl 7 1 1

Structural model:
Unit cell a=11.569 b=11.569 c=4.074 alpha=90.00 beta=90.00 gamma=90.00
Space group P4/mbm (No. 127)
Asymmetric unit:
Li1 0.113 0.387 0.000 (multiplicity 4)
Ac1 0.000 0.000 0.000 (multiplicity 2)
Ac2 0.180 0.680 0.000 (multiplicity 4)
Hg1 0.000 0.500 0.500 (multiplicity 2)
Hg2 0.066 0.224 0.500 (multiplicity 8)

# 6
Calculated X-ray powder pattern
Compound: La6Er5Tm2
Radiation: Cu Kα (λ = 1.5418 Å)
Structure: DFT lattice parameters and positions (PBE)
Peak positions follow from Bragg's law for the DFT cell and can differ from measured ones.

Peak list (10 most intense, 2θ from 5° to 70°, low angle first)
- 2θ = 30.9°, intensity 42, hkl 4 1 0
- 2θ = 31.0°, intensity 100, hkl 1 7 0
- 2θ = 31.4°, intensity 15, hkl 3 5 0
- 2θ = 31.8°, intensity 95, hkl 2 3 1
- 2θ = 33.8°, intensity 31, hkl 2 4 1
- 2θ = 36.2°, intensity 33, hkl 3 3 1
- 2θ = 50.3°, intensity 17, hkl 0 0 2
- 2θ = 51.2°, intensity 13, hkl 1 10 1
- 2θ = 60.3°, intensity 29, hkl 1 7 2
- 2θ = 61.9°, intensity 12, hkl 5 9 1

Structural model:
Unit cell a=11.705 b=20.839 c=3.626 alpha=90.00 beta=90.00 gamma=90.00
Space group Pbam (No. 55)
Asymmetric unit:
La1 0.060 0.081 0.000 (multiplicity 4)
La2 0.083 0.367 0.000 (multiplicity 4)
La3 0.171 0.637 0.500 (multiplicity 4)
Er1 0.000 0.500 0.500 (multiplicity 2)
Er2 0.095 0.228 0.500 (multiplicity 4)
Er3 0.199 0.942 0.500 (multiplicity 4)
Tm1 0.163 0.792 0.000 (multiplicity 4)

# 7
Calculated X-ray powder pattern
Compound: Er7Te4P4
Radiation: Cu Kα (λ = 1.5418 Å)
Structure: DFT lattice parameters and positions (PBE)
Peak positions follow from Bragg's law for the DFT cell and can differ from measured ones.

Peak list (10 most intense, 2θ from 5° to 70°, low angle first)
- 2θ = 24.4°, intensity 44, hkl 0 0 2
- 2θ = 26.0°, intensity 16, hkl 3 3 0
- 2θ = 27.4°, intensity 13, hkl 4 2 0
- 2θ = 31.3°, intensity 17, hkl 3 1 2
- 2θ = 33.2°, intensity 100, hkl 5 0 1
- 2θ = 36.0°, intensity 11, hkl 3 3 2
- 2θ = 37.0°, intensity 60, hkl 6 0 0
- 2θ = 48.8°, intensity 33, hkl 5 0 3
- 2θ = 49.9°, intensity 14, hkl 0 0 4
- 2θ = 52.3°, intensity 11, hkl 7 4 1

Structural model:
Unit cell a=14.535 b=14.535 c=7.309 alpha=90.00 beta=90.00 gamma=90.00
Space group I4/mmm (No. 139)
Asymmetric unit:
Er1 0.000 0.000 0.243 (multiplicity 4)
Er2 0.000 0.293 0.000 (multiplicity 8)
Er3 0.000 0.366 0.500 (multiplicity 8)
Er4 0.218 0.218 0.500 (multiplicity 8)
Te1 0.000 0.168 0.500 (multiplicity 8)
Te2 0.127 0.127 0.000 (multiplicity 8)
P1 0.144 0.356 0.250 (multiplicity 16)

# 8
Calculated X-ray powder pattern
Compound: Ti4SnO10
Radiation: Cu Kα (λ = 1.5418 Å)
Structure: DFT lattice parameters and positions (PBE)
Peak positions follow from Bragg's law for the DFT cell and can differ from measured ones.

Peak list (10 most intense, 2θ from 5° to 70°, low angle first)
- 2θ = 18.9°, intensity 9, hkl 1 0 0
- 2θ = 26.8°, intensity 100, hkl 1 1 -1
- 2θ = 35.2°, intensity 56, hkl 0 0 5
- 2θ = 38.3°, intensity 12, hkl 2 0 0
- 2θ = 40.3°, intensity 16, hkl -1 2 3
- 2θ = 52.9°, intensity 23, hkl 2 0 -5
- 2θ = 53.0°, intensity 38, hkl 1 1 -6
- 2θ = 55.3°, intensity 9, hkl 2 -2 2
- 2θ = 67.3°, intensity 15, hkl -3 1 4
- 2θ = 68.0°, intensity 9, hkl 1 1 9

Structural model:
Unit cell a=4.704 b=5.595 c=12.990 alpha=78.37 beta=89.99 gamma=89.82
Space group P-1 (No. 2)
Asymmetric unit:
Ti1 0.000 0.000 0.000 (multiplicity 1)
Ti2 0.007 0.203 0.199 (multiplicity 2)
Ti3 0.010 0.576 0.599 (multiplicity 2)
Ti4 0.488 0.066 0.601 (multiplicity 2)
Ti5 0.500 0.500 0.000 (multiplicity 1)
Sn1 0.499 0.702 0.201 (multiplicity 2)
O1 0.182 0.054 0.861 (multiplicity 2)
O2 0.182 0.455 0.262 (multiplicity 2)
O3 0.189 0.655 0.461 (multiplicity 2)
O4 0.198 0.251 0.063 (multiplicity 2)
O5 0.201 0.850 0.662 (multiplicity 2)
O6 0.300 0.755 0.055 (multiplicity 2)
O7 0.300 0.968 0.265 (multiplicity 2)
O8 0.301 0.564 0.865 (multiplicity 2)
O9 0.304 0.353 0.654 (multiplicity 2)
O10 0.307 0.154 0.463 (multiplicity 2)